Structure and theoretical powder diffractogram of Cs3F2 (a structure optimized by DFT (GGA-PBE); λ = 1.5418 Å (Cu Kα)).
Lines closer than 0.1° are merged.

Largest 10 diffraction maxima, by angle, 2θ from 10° to 80°:
two_theta  Rel. int.
23.32  14
23.93  23
26.26  100
33.66  25
40.98  23
43.54  25
48.01  19
49.33  16
65.72  11
66.00  13

Structure:
```
data_Cs3F2
_chemical_formula_sum 'Cs6 F4'
_cell_length_a 8.644
_cell_length_b 8.644
_cell_length_c 8.644
_cell_angle_alpha 52.37
_cell_angle_beta 52.37
_cell_angle_gamma 52.37
_symmetry_space_group_name_H-M 'P 1'
_symmetry_Int_Tables_number 1
loop_
_symmetry_equiv_pos_as_xyz
'x,y,z'
loop_
_atom_site_label
_atom_site_type_symbol
_atom_site_fract_x
_atom_site_fract_y
_atom_site_fract_z
_atom_site_occupancy
Cs1 Cs 0.066 0.750 0.434 1
Cs2 Cs 0.250 0.566 0.934 1
Cs3 Cs 0.434 0.066 0.750 1
Cs4 Cs 0.566 0.934 0.250 1
Cs5 Cs 0.750 0.434 0.066 1
Cs6 Cs 0.934 0.250 0.566 1
F1 F 0.165 0.165 0.165 1
F2 F 0.335 0.335 0.335 1
F3 F 0.665 0.665 0.665 1
F4 F 0.835 0.835 0.835 1
```